Theoretical X-ray powder pattern of Li5Mn2CoO8 for Cu Kα, from a structure optimized by DFT (PBE+U).
No peak broadening, texture or thermal motion is included.

Most intense lines, 15° ≤ 2θ ≤ 90°, most intense first:
d = 4.842 Å, 18.32°, I 100
d = 2.067 Å, 43.80°, I 59
d = 1.469 Å, 63.31°, I 31
d = 2.088 Å, 43.33°, I 30
d = 2.472 Å, 36.34°, I 23
d = 2.524 Å, 35.57°, I 13

Structural model:
```
Li5Mn2CoO8
1.0
9.7162 -1.4364 0.0000
9.7162 1.4364 0.0000
-0.4117 0.0000 5.1165
Li Mn Co O
5 2 1 8
direct
0.0000 0.0000 0.0000 Li
0.2660 0.2660 0.7338 Li
0.3863 0.3863 0.1100 Li
0.5036 0.5036 0.4871 Li
0.7739 0.7739 0.2147 Li
0.6354 0.6354 0.8636 Mn
0.8854 0.8854 0.6088 Mn
0.1350 0.1350 0.3616 Co
0.0792 0.0792 0.7096 O
0.1923 0.1923 0.0197 O
0.3295 0.3295 0.4386 O
0.4406 0.4406 0.7779 O
0.5819 0.5819 0.1676 O
0.6871 0.6871 0.5561 O
0.8272 0.8272 0.8931 O
0.9448 0.9448 0.3260 O
```

Theoretical X-ray powder pattern of Li5Mn2CoO8 for Cu Kα, from a structure optimized by DFT (PBE+U).
No peak broadening, texture or thermal motion is included.

Most intense lines, 15° ≤ 2θ ≤ 90°, most intense first:
d = 4.836 Å, 18.35°, I 100
d = 2.064 Å, 43.88°, I 66
d = 2.112 Å, 42.81°, I 28
d = 2.481 Å, 36.20°, I 25
d = 1.477 Å, 62.91°, I 15
d = 1.475 Å, 63.02°, I 14

Structural model:
```
Li5Mn2CoO8
1.0
4.8996 -1.4466 0.0000
4.8996 1.4466 0.0000
-1.6536 0.0000 10.1544
Li Mn Co O
5 2 1 8
direct
0.0000 0.0000 0.0000 Li
0.2502 0.2502 0.3712 Li
0.4945 0.4945 0.7316 Li
0.4997 0.4997 0.2636 Li
0.9854 0.9854 0.4888 Li
0.2491 0.2491 0.8696 Mn
0.7520 0.7520 0.1295 Mn
0.7355 0.7355 0.5930 Co
0.1371 0.1371 0.1709 O
0.1406 0.1406 0.7020 O
0.3566 0.3566 0.0551 O
0.3643 0.3643 0.5644 O
0.6198 0.6198 0.4408 O
0.6412 0.6412 0.9355 O
0.8632 0.8632 0.8249 O
0.8638 0.8638 0.2868 O
```

Theoretical X-ray powder pattern of Li7Mn2Co3O12 for Cu Kα, from a structure optimized by DFT (PBE+U).
No peak broadening, texture or thermal motion is included.

Most intense lines, 15° ≤ 2θ ≤ 90°, most intense first:
d = 4.839 Å, 18.33°, I 100
d = 2.144 Å, 42.15°, I 33
d = 2.078 Å, 43.54°, I 29
d = 2.032 Å, 44.60°, I 26
d = 2.564 Å, 34.99°, I 17
d = 2.500 Å, 35.93°, I 13

Structural model:
```
Li7Mn2Co3O12
1.0
2.9837 0.0000 0.0000
0.0685 5.0701 0.0000
0.4158 0.5791 14.3622
Li Mn Co O
7 2 3 12
direct
0.0000 0.0000 0.0000 Li
0.0012 0.3395 0.6685 Li
0.0133 0.6918 0.3376 Li
0.4924 0.1571 0.3347 Li
0.4960 0.5025 0.5036 Li
0.5032 0.1741 0.8352 Li
0.5080 0.8456 0.1752 Li
0.0112 0.3321 0.1765 Mn
0.5088 0.5113 0.0031 Mn
0.0005 0.0096 0.4961 Co
0.0002 0.6767 0.8335 Co
0.5000 0.8441 0.6671 Co
0.0032 0.3036 0.4312 O
0.0108 0.7061 0.5843 O
0.0488 0.6520 0.0863 O
0.4728 0.8448 0.4273 O
0.4917 0.8254 0.9183 O
0.4967 0.4830 0.2445 O
0.5093 0.5273 0.7505 O
0.5265 0.2025 0.0939 O
0.5384 0.1521 0.5863 O
0.9694 0.3591 0.9180 O
0.9985 0.0238 0.2472 O
0.9979 0.9893 0.7533 O
```

Theoretical X-ray powder pattern of Li4MnCo2O7 for Cu Kα, from a structure optimized by DFT (PBE+U).
No peak broadening, texture or thermal motion is included.

Most intense lines, 15° ≤ 2θ ≤ 90°, most intense first:
d = 4.834 Å, 18.35°, I 100
d = 2.063 Å, 43.89°, I 55
d = 1.480 Å, 62.79°, I 30
d = 2.124 Å, 42.55°, I 29
d = 2.484 Å, 36.16°, I 25
d = 2.552 Å, 35.17°, I 15

Structural model:
```
Li4MnCo2O7
1.0
7.6469 -1.4481 0.0000
7.6469 1.4481 0.0000
-6.3629 0.0000 11.4290
Li Mn Co O
8 2 4 14
direct
0.0000 0.0000 0.0000 Li
0.1427 0.1427 0.7111 Li
0.2909 0.2909 0.4363 Li
0.4300 0.4300 0.1488 Li
0.5054 0.5054 0.5054 Li
0.5691 0.5691 0.8541 Li
0.7118 0.7118 0.5751 Li
0.8645 0.8645 0.3041 Li
0.0740 0.0740 0.3710 Mn
0.2153 0.2153 0.0749 Mn
0.3634 0.3634 0.7891 Co
0.6454 0.6454 0.2242 Co
0.7862 0.7862 0.9257 Co
0.9309 0.9309 0.6297 Co
0.0515 0.0515 0.1992 O
0.1070 0.1070 0.5252 O
0.1875 0.1875 0.8980 O
0.2397 0.2397 0.2525 O
0.3383 0.3383 0.6216 O
0.3884 0.3884 0.9652 O
0.4769 0.4769 0.3271 O
0.5276 0.5276 0.6796 O
0.6188 0.6188 0.0454 O
0.6689 0.6689 0.3959 O
0.7586 0.7586 0.7587 O
0.8132 0.8132 0.1069 O
0.8935 0.8935 0.4754 O
0.9598 0.9598 0.8251 O
```

Theoretical X-ray powder pattern of Li7Mn2Co3O12 for Cu Kα, from a structure optimized by DFT (PBE+U).
No peak broadening, texture or thermal motion is included.

Most intense lines, 15° ≤ 2θ ≤ 90°, most intense first:
d = 4.825 Å, 18.39°, I 100
d = 2.185 Å, 41.32°, I 35
d = 2.051 Å, 44.16°, I 27
d = 2.018 Å, 44.91°, I 25
d = 2.613 Å, 34.32°, I 19
d = 2.469 Å, 36.39°, I 12

Structural model:
```
Li7Mn2Co3O12
1.0
3.0029 0.0000 0.0000
0.2673 4.9944 0.0000
0.6000 0.5596 14.4758
Li Mn Co O
7 2 3 12
direct
0.0000 0.0000 0.0000 Li
0.0000 0.0000 0.5000 Li
0.0116 0.6679 0.3436 Li
0.4960 0.1534 0.3480 Li
0.5000 0.5000 0.0000 Li
0.5040 0.8466 0.6520 Li
0.9884 0.3321 0.6564 Li
0.0023 0.3323 0.1683 Mn
0.9977 0.6677 0.8317 Mn
0.4964 0.1670 0.8318 Co
0.5000 0.5000 0.5000 Co
0.5036 0.8330 0.1682 Co
0.0073 0.3458 0.4259 O
0.0317 0.9994 0.2437 O
0.0330 0.3374 0.9098 O
0.4786 0.1575 0.0909 O
0.4816 0.4948 0.7585 O
0.4940 0.7941 0.4253 O
0.5060 0.2059 0.5747 O
0.5184 0.5052 0.2415 O
0.5214 0.8425 0.9091 O
0.9670 0.6626 0.0902 O
0.9683 0.0006 0.7563 O
0.9927 0.6542 0.5741 O
```

Theoretical X-ray powder pattern of Li4MnCo3O8 for Cu Kα, from a structure optimized by DFT (PBE+U).
No peak broadening, texture or thermal motion is included.

Most intense lines, 15° ≤ 2θ ≤ 90°, most intense first:
d = 4.921 Å, 18.03°, I 100
d = 2.088 Å, 43.34°, I 74
d = 2.498 Å, 35.94°, I 27
d = 1.492 Å, 62.20°, I 14
d = 2.490 Å, 36.08°, I 13
d = 1.460 Å, 63.75°, I 12

Structural model:
```
Li4MnCo3O8
1.0
5.9590 0.0000 0.0000
0.0000 2.9314 0.0000
-0.2625 0.0000 8.3415
Li Mn Co O
4 1 3 8
direct
0.0000 0.0000 0.0000 Li
0.2461 0.5000 0.2553 Li
0.5000 0.0000 0.5000 Li
0.7539 0.5000 0.7447 Li
0.5000 0.0000 0.0000 Mn
0.0000 0.0000 0.5000 Co
0.2390 0.5000 0.7368 Co
0.7610 0.5000 0.2632 Co
0.0111 0.0000 0.7593 O
0.2473 0.5000 0.5102 O
0.2817 0.5000 0.9939 O
0.4855 0.0000 0.7678 O
0.5145 0.0000 0.2322 O
0.7183 0.5000 0.0061 O
0.7527 0.5000 0.4898 O
0.9889 0.0000 0.2407 O
```